The following is a computed powder X-ray diffraction pattern of HoEr2Cu4Sn2Ge2. It was derived from the GGA-PBE geometry in OQMD, using CuKα.
Peak positions follow from Bragg's law for the DFT cell and can differ from measured ones.

Cell and atoms:
Cell lengths 8.2050, 8.2050, 8.2050 Å; angles 149.82, 130.05, 59.48 degrees
Fractional coordinates of all 11 atoms:
Ho  0.0000  0.0000  0.0000
Er  0.3648  0.8648  0.5000
Er  0.6352  0.1352  0.5000
Cu  0.0112  0.3223  0.6889
Cu  0.3666  0.6777  0.6889
Cu  0.6334  0.3223  0.3111
Cu  0.9888  0.6777  0.3111
Sn  0.2980  0.5000  0.7980
Sn  0.7020  0.5000  0.2020
Ge  0.2164  0.2164  0.0000
Ge  0.7836  0.7836  0.0000

Peak list (8 most intense, 2θ = 10–90°, by intensity)
Position (°2θ)  I_rel
33.9  100
35.3  85
42.3  37
43.6  31
37.9  28
46.4  22
62.4  21
34.0  20

=====

The following is a computed powder X-ray diffraction pattern of Zr2AlNi2Bi. It was derived from the GGA-PBE geometry in OQMD, using CuKα.
Peak positions follow from Bragg's law for the DFT cell and can differ from measured ones.

Cell and atoms:
Cell lengths 7.4849, 7.4849, 7.4849 Å; angles 131.80, 131.80, 70.55 degrees
Fractional coordinates of all 12 atoms:
Zr  0.2430  0.2430  0.0000
Zr  0.5070  0.0070  0.5000
Zr  0.7570  0.7570  0.0000
Zr  0.9930  0.4930  0.5000
Al  0.0000  0.0000  0.0000
Al  0.7500  0.2500  0.5000
Ni  0.1113  0.6250  0.9863
Ni  0.3750  0.3613  0.4863
Ni  0.6387  0.1250  0.0137
Ni  0.8750  0.8887  0.5137
Bi  0.2500  0.7500  0.5000
Bi  0.5000  0.5000  0.0000

Peak list (8 most intense, 2θ = 10–90°, by intensity)
Position (°2θ)  I_rel
41.8  100
29.2  37
76.3  32
16.2  30
26.3  17
25.2  16
60.6  16
68.7  13

=====

The following is a computed powder X-ray diffraction pattern of LiAlPt. It was derived from the GGA-PBE geometry in OQMD, using CuKα.
Peak positions follow from Bragg's law for the DFT cell and can differ from measured ones.

Cell and atoms:
Cell lengths 7.2126, 7.2126, 2.8489 Å; angles 90.00, 90.00, 120.00 degrees
Fractional coordinates of all 9 atoms:
Li  0.0000  0.6375  0.0000
Li  0.3625  0.3625  0.0000
Li  0.6375  0.0000  0.0000
Al  0.0000  0.0000  0.0000
Al  0.3333  0.6667  0.5000
Al  0.6667  0.3333  0.5000
Pt  0.0000  0.3039  0.5000
Pt  0.3039  0.0000  0.5000
Pt  0.6961  0.6961  0.5000

Peak list (8 most intense, 2θ = 10–90°, by intensity)
Position (°2θ)  I_rel
24.7  100
40.3  65
43.5  33
54.6  25
31.4  24
60.8  16
77.7  13
50.6  12

=====

The following is a computed powder X-ray diffraction pattern of Gd3Tl4Sn3. It was derived from the GGA-PBE geometry in OQMD, using CuKα.
Peak positions follow from Bragg's law for the DFT cell and can differ from measured ones.

Cell and atoms:
Cell lengths 12.7811, 12.7811, 4.6663 Å; angles 90.00, 90.00, 159.33 degrees
Fractional coordinates of all 10 atoms:
Gd  0.0000  0.0000  0.0000
Gd  0.1906  0.8094  0.0000
Gd  0.8094  0.1906  0.0000
Tl  0.0985  0.9015  0.5000
Tl  0.4025  0.5975  0.0000
Tl  0.5975  0.4025  0.0000
Tl  0.9015  0.0985  0.5000
Sn  0.2921  0.7079  0.5000
Sn  0.5000  0.5000  0.5000
Sn  0.7079  0.2921  0.5000

Peak list (8 most intense, 2θ = 10–90°, by intensity)
Position (°2θ)  I_rel
32.7  100
35.7  18
38.6  16
39.3  16
66.1  14
67.1  13
62.2  13
53.6  12

=====

The following is a computed powder X-ray diffraction pattern of In4Au9. It was derived from the GGA-PBE geometry in OQMD, using CuKα.
Peak positions follow from Bragg's law for the DFT cell and can differ from measured ones.

Cell and atoms:
Cell lengths 9.9891, 9.9891, 9.9891 Å; angles 90.00, 90.00, 90.00 degrees
Fractional coordinates of all 52 atoms:
In  0.0342  0.3104  0.3104
In  0.0342  0.6896  0.6896
In  0.3104  0.0342  0.3104
In  0.3104  0.3104  0.0342
In  0.3104  0.6896  0.9658
In  0.3104  0.9658  0.6896
In  0.3753  0.3753  0.6247
In  0.3753  0.6247  0.3753
In  0.6247  0.3753  0.3753
In  0.6247  0.6247  0.6247
In  0.6896  0.0342  0.6896
In  0.6896  0.3104  0.9658
In  0.6896  0.6896  0.0342
In  0.6896  0.9658  0.3104
In  0.9658  0.3104  0.6896
In  0.9658  0.6896  0.3104
Au  0.0000  0.0000  0.3591
Au  0.0000  0.0000  0.6409
Au  0.0000  0.3591  0.0000
Au  0.0000  0.6409  0.0000
Au  0.1105  0.1105  0.1105
Au  0.1105  0.8895  0.8895
Au  0.1403  0.5000  0.5000
Au  0.1745  0.1745  0.8255
Au  0.1745  0.8255  0.1745
Au  0.1838  0.1838  0.5303
Au  0.1838  0.4697  0.8162
Au  0.1838  0.5303  0.1838
Au  0.1838  0.8162  0.4697
Au  0.3320  0.3320  0.3320
Au  0.3320  0.6680  0.6680
Au  0.3591  0.0000  0.0000
Au  0.4697  0.1838  0.8162
Au  0.4697  0.8162  0.1838
Au  0.5000  0.1403  0.5000
Au  0.5000  0.5000  0.1403
Au  0.5000  0.5000  0.8597
Au  0.5000  0.8597  0.5000
Au  0.5303  0.1838  0.1838
Au  0.5303  0.8162  0.8162
Au  0.6409  0.0000  0.0000
Au  0.6680  0.3320  0.6680
Au  0.6680  0.6680  0.3320
Au  0.8162  0.1838  0.4697
Au  0.8162  0.4697  0.1838
Au  0.8162  0.5303  0.8162
Au  0.8162  0.8162  0.5303
Au  0.8255  0.1745  0.1745
Au  0.8255  0.8255  0.8255
Au  0.8597  0.5000  0.5000
Au  0.8895  0.1105  0.8895
Au  0.8895  0.8895  0.1105

Peak list (8 most intense, 2θ = 10–90°, by intensity)
Position (°2θ)  I_rel
38.2  100
69.1  23
55.2  12
77.7  12
64.6  5
81.8  4
21.8  3
31.0  3

=====

The following is a computed powder X-ray diffraction pattern of SmTm2Cu4Si4. It was derived from the GGA-PBE geometry in OQMD, using CuKα.
Peak positions follow from Bragg's law for the DFT cell and can differ from measured ones.

Cell and atoms:
Cell lengths 7.8444, 7.8444, 7.8444 Å; angles 149.73, 130.35, 59.26 degrees
Fractional coordinates of all 11 atoms:
Sm  0.0000  0.0000  0.0000
Tm  0.3709  0.8709  0.5000
Tm  0.6291  0.1291  0.5000
Cu  0.0220  0.3306  0.6913
Cu  0.3607  0.6694  0.6913
Cu  0.6393  0.3306  0.3087
Cu  0.9780  0.6694  0.3087
Si  0.2185  0.2185  0.0000
Si  0.3186  0.5000  0.8186
Si  0.6814  0.5000  0.1814
Si  0.7815  0.7815  0.0000

Peak list (8 most intense, 2θ = 10–90°, by intensity)
Position (°2θ)  I_rel
35.6  100
36.9  85
45.9  29
44.2  28
65.7  27
23.8  22
39.7  18
40.4  18

=====

Repeat the third record exactly.
The following is a computed powder X-ray diffraction pattern of LiAlPt. It was derived from the GGA-PBE geometry in OQMD, using CuKα.
Peak positions follow from Bragg's law for the DFT cell and can differ from measured ones.

Cell and atoms:
Cell lengths 7.2126, 7.2126, 2.8489 Å; angles 90.00, 90.00, 120.00 degrees
Fractional coordinates of all 9 atoms:
Li  0.0000  0.6375  0.0000
Li  0.3625  0.3625  0.0000
Li  0.6375  0.0000  0.0000
Al  0.0000  0.0000  0.0000
Al  0.3333  0.6667  0.5000
Al  0.6667  0.3333  0.5000
Pt  0.0000  0.3039  0.5000
Pt  0.3039  0.0000  0.5000
Pt  0.6961  0.6961  0.5000

Peak list (8 most intense, 2θ = 10–90°, by intensity)
Position (°2θ)  I_rel
24.7  100
40.3  65
43.5  33
54.6  25
31.4  24
60.8  16
77.7  13
50.6  12

=====

What did the fourth record say?
The following is a computed powder X-ray diffraction pattern of Gd3Tl4Sn3. It was derived from the GGA-PBE geometry in OQMD, using CuKα.
Peak positions follow from Bragg's law for the DFT cell and can differ from measured ones.

Cell and atoms:
Cell lengths 12.7811, 12.7811, 4.6663 Å; angles 90.00, 90.00, 159.33 degrees
Fractional coordinates of all 10 atoms:
Gd  0.0000  0.0000  0.0000
Gd  0.1906  0.8094  0.0000
Gd  0.8094  0.1906  0.0000
Tl  0.0985  0.9015  0.5000
Tl  0.4025  0.5975  0.0000
Tl  0.5975  0.4025  0.0000
Tl  0.9015  0.0985  0.5000
Sn  0.2921  0.7079  0.5000
Sn  0.5000  0.5000  0.5000
Sn  0.7079  0.2921  0.5000

Peak list (8 most intense, 2θ = 10–90°, by intensity)
Position (°2θ)  I_rel
32.7  100
35.7  18
38.6  16
39.3  16
66.1  14
67.1  13
62.2  13
53.6  12

=====

Number 6 is which compound?
SmTm2Cu4Si4